Starting from a PBE-relaxed structure, the powder diffraction line list of Li2Nb4O11 was simulated for Cu Kα (λ = 1.5418 Å).
No peak broadening, texture or thermal motion is included.

Top 10 peaks for 10° ≤ 2θ ≤ 90°, in order of rising 2θ:
14.29°, I = 100; 16.74°, I = 27; 16.92°, I = 54; 28.81°, I = 52; 29.02°, I = 84; 29.34°, I = 41; 31.65°, I = 52; 31.95°, I = 21; 50.12°, I = 29; 58.84°, I = 25

Crystal structure
a = 11.046 Å, b = 6.281 Å, c = 12.930 Å
α = 90.00°, β = 106.53°, γ = 90.00°
Space group C2/c (No. 15)
Inequivalent atoms, fractional coordinates:
1 Li 0.106 0.249 0.060 x8
2 Nb 0.000 0.387 0.250 x4
3 Nb 0.177 0.074 0.750 x8
4 Nb 0.250 0.250 0.500 x4
5 O 0.000 0.002 0.250 x4
6 O 0.076 0.336 0.407 x8
7 O 0.119 0.370 0.749 x8
8 O 0.157 0.251 0.220 x8
9 O 0.168 0.078 0.594 x8
10 O 0.246 0.011 0.907 x8



Starting from a PBE-relaxed structure, the powder diffraction line list of NdFeCu was simulated for Cu Kα (λ = 1.5418 Å).
No peak broadening, texture or thermal motion is included.

Top 10 peaks for 10° ≤ 2θ ≤ 90°, in order of rising 2θ:
34.05°, I = 65; 34.80°, I = 29; 36.39°, I = 52; 36.63°, I = 97; 39.92°, I = 100; 40.59°, I = 81; 41.46°, I = 57; 63.58°, I = 26; 67.69°, I = 28; 71.69°, I = 23

Crystal structure
a = 8.782 Å, b = 5.156 Å, c = 9.187 Å
α = 90.00°, β = 90.00°, γ = 90.00°
Space group Amm2 (No. 38)
Inequivalent atoms, fractional coordinates:
1 Nd 0.185 0.000 0.000 x4
2 Nd 0.314 0.000 0.665 x4
3 Fe 0.000 0.000 0.497 x2
4 Fe 0.500 0.000 0.169 x2
5 Fe 0.500 0.247 0.916 x4
6 Cu 0.000 0.246 0.251 x4
7 Cu 0.252 0.000 0.336 x4